Calculated PXRD pattern
Compound: KSn4Cl8
Radiation: Cu Kα, 1.54184 Å
Structure: a crystal structure in Alexandria, relaxed with PBE
No peak broadening, texture or thermal motion is included.

Largest 10 diffraction maxima, in order of falling intensity, 10° ≤ 2θ ≤ 90°:
12.24 deg, I 100; 28.52 deg, I 78; 40.77 deg, I 67; 23.57 deg, I 64; 37.32 deg, I 44; 42.73 deg, I 27; 66.83 deg, I 20; 74.21 deg, I 18; 50.50 deg, I 18; 52.17 deg, I 17

Crystal structure
a b c (Å): 8.853 8.853 8.853
angles (deg): 60.00 60.00 60.00
Sites, in units of the cell vectors:
1 K 0.000 0.000 0.000
2 Sn 0.378 0.378 0.378
3 Sn 0.378 0.378 0.867
4 Sn 0.378 0.867 0.378
5 Sn 0.867 0.378 0.378
6 Cl 0.141 0.141 0.141
7 Cl 0.141 0.141 0.577
8 Cl 0.141 0.577 0.141
9 Cl 0.178 0.607 0.607
10 Cl 0.577 0.141 0.141
11 Cl 0.607 0.178 0.607
12 Cl 0.607 0.607 0.178
13 Cl 0.607 0.607 0.607